1.
For NaNpAg2F8, a structure optimized by DFT (PBE) gives the theoretical PXRD pattern in this record (λ = 1.5418 Å (Cu Kα)).
Intensities are scaled so that the largest is 100.

Cell and atoms:
```
data_NaNpAg2F8
_chemical_formula_sum 'Na1 Np1 Ag2 F8'
_symmetry_space_group_name_H-M 'P -1'
_symmetry_Int_Tables_number 2
_cell_length_a 3.9808
_cell_length_b 5.8203
_cell_length_c 8.0964
_cell_angle_alpha 90.05
_cell_angle_beta 90.00
_cell_angle_gamma 90.06
loop_
_symmetry_equiv_pos_as_xyz
'x,y,z'
'-x,-y,-z'
loop_
_atom_site_label
_atom_site_type_symbol
_atom_site_fract_x
_atom_site_fract_y
_atom_site_fract_z
Na1 Na 0.0000 0.0000 0.0000
Np1 Np 0.0000 0.0000 0.5000
Ag1 Ag 0.4999 0.4990 0.2088
F1 F 0.0005 0.2289 0.2946
F2 F 0.0005 0.2323 0.7035
F3 F 0.5004 0.2075 0.4989
F4 F 0.5004 0.2338 0.9991
```

Main lines, by angle (2θ = 10–90°):
h k l  2theta  I (rel.)
0 0 1  10.93  49
0 1 1  18.78  78
1 0 1  24.92  45
0 1 -2  26.83  95
1 1 0  27.14  100
1 0 2  31.52  27
1 2 1  39.96  18
1 1 3  43.39  31
1 2 -2  44.59  78
2 0 0  45.58  21
0 2 3  45.86  19
2 1 -2  53.68  29



2.
For CeTl2Cl7, a structure optimized by DFT (PBE) gives the theoretical PXRD pattern in this record (λ = 1.5418 Å (Cu Kα)).
Intensities are scaled so that the largest is 100.

Cell and atoms:
```
data_CeTl2Cl7
_chemical_formula_sum 'Ce4 Tl8 Cl28'
_symmetry_space_group_name_H-M 'C 1 2/c 1'
_symmetry_Int_Tables_number 15
_cell_length_a 16.3319
_cell_length_b 7.9113
_cell_length_c 12.9960
_cell_angle_alpha 90.00
_cell_angle_beta 128.26
_cell_angle_gamma 90.00
loop_
_symmetry_equiv_pos_as_xyz
'x,y,z'
'-x,-y,-z'
'-x,y,-z+1/2'
'x,-y,z+1/2'
'x+1/2,y+1/2,z'
'-x+1/2,-y+1/2,-z'
'-x+1/2,y+1/2,-z+1/2'
'x+1/2,-y+1/2,z+1/2'
loop_
_atom_site_label
_atom_site_type_symbol
_atom_site_fract_x
_atom_site_fract_y
_atom_site_fract_z
Ce1 Ce 0.0000 0.0376 0.2500
Tl1 Tl 0.1784 0.4367 0.5909
Cl1 Cl 0.0000 0.3870 0.2500
Cl2 Cl 0.0984 0.2048 0.7279
Cl3 Cl 0.1038 0.2115 0.1711
Cl4 Cl 0.1718 0.0600 0.4953
```

Main lines, by angle (2θ = 10–90°):
h k l  2theta  I (rel.)
1 1 -1  13.19  19
1 1 -2  18.08  100
4 0 -2  21.77  30
3 1 0  23.66  35
2 0 2  28.30  40
2 0 -4  28.55  17
4 2 -2  31.49  34
5 1 -4  32.59  32
1 3 -1  34.76  21
2 2 -4  36.63  17
1 1 4  41.74  15
6 0 0  42.34  17



3.
For Al2Au5, a structure optimized by DFT (PBE) gives the theoretical PXRD pattern in this record (λ = 1.5418 Å (Cu Kα)).
Intensities are scaled so that the largest is 100.

Cell and atoms:
```
data_Al2Au5
_chemical_formula_sum 'Al8 Au20'
_symmetry_space_group_name_H-M 'C 1 2/c 1'
_symmetry_Int_Tables_number 15
_cell_length_a 12.3918
_cell_length_b 6.9424
_cell_length_c 5.7356
_cell_angle_alpha 90.00
_cell_angle_beta 91.14
_cell_angle_gamma 90.00
loop_
_symmetry_equiv_pos_as_xyz
'x,y,z'
'-x,-y,-z'
'-x,y,-z+1/2'
'x,-y,z+1/2'
'x+1/2,y+1/2,z'
'-x+1/2,-y+1/2,-z'
'-x+1/2,y+1/2,-z+1/2'
'x+1/2,-y+1/2,z+1/2'
loop_
_atom_site_label
_atom_site_type_symbol
_atom_site_fract_x
_atom_site_fract_y
_atom_site_fract_z
Al1 Al 0.1253 0.2288 0.0183
Au1 Au 0.0000 0.4632 0.2500
Au2 Au 0.0828 0.1487 0.5601
Au3 Au 0.2296 0.4534 0.7226
```

Main lines, by angle (2θ = 10–90°):
h k l  2theta  I (rel.)
1 1 1  21.44  27
3 1 -1  29.37  35
2 2 1  33.60  100
2 0 -2  34.20  39
1 1 -2  34.48  27
1 1 2  34.75  42
5 1 0  38.58  65
4 2 0  38.97  53
1 3 0  39.62  42
0 2 2  40.82  62
4 2 -1  41.93  32
4 0 2  43.43  47



4.
For ReBi, a structure optimized by DFT (PBE) gives the theoretical PXRD pattern in this record (λ = 1.5418 Å (Cu Kα)).
Intensities are scaled so that the largest is 100.

Cell and atoms:
```
data_ReBi
_chemical_formula_sum 'Re8 Bi8'
_symmetry_space_group_name_H-M 'I 4/m'
_symmetry_Int_Tables_number 87
_symmetry_space_group_name_Hall '-I 4'
_cell_length_a 10.9249
_cell_length_b 10.9249
_cell_length_c 3.0700
_cell_angle_alpha 90.00
_cell_angle_beta 90.00
_cell_angle_gamma 90.00
loop_
_atom_site_label
_atom_site_type_symbol
_atom_site_fract_x
_atom_site_fract_y
_atom_site_fract_z
Re1 Re 0.0772 0.6152 0.0000
Bi1 Bi 0.1470 0.8392 0.5000
```

Main lines, by angle (2θ = 10–90°):
h k l  2theta  I (rel.)
1 1 0  11.45  41
1 3 0  25.79  32
1 0 1  30.24  30
4 0 0  32.79  83
2 1 1  34.50  27
3 3 0  34.84  39
3 0 1  38.35  100
3 2 1  41.89  74
5 1 0  42.18  25
3 4 1  51.32  46
7 0 1  67.30  25
7 4 1  76.91  28



5.
For KBaMg2, a structure optimized by DFT (PBE) gives the theoretical PXRD pattern in this record (λ = 1.5418 Å (Cu Kα)).
Intensities are scaled so that the largest is 100.

Cell and atoms:
```
data_KBaMg2
_chemical_formula_sum 'K2 Ba2 Mg4'
_symmetry_space_group_name_H-M 'I m m 2'
_symmetry_Int_Tables_number 44
_cell_length_a 4.1780
_cell_length_b 6.3471
_cell_length_c 12.5176
_cell_angle_alpha 90.00
_cell_angle_beta 90.00
_cell_angle_gamma 90.00
loop_
_symmetry_equiv_pos_as_xyz
'x,y,z'
'-x,-y,z'
'-x,y,z'
'x,-y,z'
'x+1/2,y+1/2,z+1/2'
'-x+1/2,-y+1/2,z+1/2'
'-x+1/2,y+1/2,z+1/2'
'x+1/2,-y+1/2,z+1/2'
loop_
_atom_site_label
_atom_site_type_symbol
_atom_site_fract_x
_atom_site_fract_y
_atom_site_fract_z
K1 K 0.0000 0.0000 0.0000
Ba1 Ba 0.0000 0.5000 0.2040
Mg1 Mg 0.0000 0.0000 0.4424
Mg2 Mg 0.0000 0.5000 0.7623
```

Main lines, by angle (2θ = 10–90°):
h k l  2theta  I (rel.)
0 0 2  14.15  24
0 1 1  15.65  41
1 0 1  22.43  32
0 1 3  25.54  52
0 2 0  28.12  31
0 0 4  28.52  20
1 1 2  29.30  100
1 2 1  36.26  19
0 2 4  40.48  15
1 3 2  50.50  21
2 1 3  50.98  20
1 2 5  51.37  15



6.
For MgCr2Si, a structure optimized by DFT (PBE) gives the theoretical PXRD pattern in this record (λ = 1.5418 Å (Cu Kα)).
Intensities are scaled so that the largest is 100.

Cell and atoms:
```
data_MgCr2Si
_chemical_formula_sum 'Mg2 Cr4 Si2'
_symmetry_space_group_name_H-M 'C m m m'
_symmetry_Int_Tables_number 65
_symmetry_space_group_name_Hall '-C 2 2'
_cell_length_a 3.1669
_cell_length_b 4.1195
_cell_length_c 8.1846
_cell_angle_alpha 90.00
_cell_angle_beta 90.00
_cell_angle_gamma 90.00
loop_
_atom_site_label
_atom_site_type_symbol
_atom_site_fract_x
_atom_site_fract_y
_atom_site_fract_z
Mg1 Mg 0.0000 0.0000 0.0000
Cr1 Cr 0.0000 0.5000 0.2774
Si1 Si 0.0000 0.0000 0.5000
```

Main lines, by angle (2θ = 10–90°):
h k l  2theta  I (rel.)
0 0 1  10.81  17
0 0 2  21.72  14
1 1 0  35.76  10
1 1 2  42.23  100
0 2 0  43.96  24
0 0 4  44.27  17
1 1 3  49.33  8
2 0 0  58.27  10
0 2 4  64.16  10
2 2 0  75.77  8
1 3 2  79.62  13
1 1 6  80.06  7